Starting from the GGA-PBE geometry in Alexandria, the powder XRD pattern of AlGePd4 was simulated for Cu Kα.

Structural model:
Unit cell a=4.986 b=5.398 c=6.928 alpha=90.00 beta=93.43 gamma=90.00
Positions (direct):
Al  0.162  0.250  0.114
Al  0.838  0.750  0.886
Ge  0.152  0.750  0.538
Ge  0.848  0.250  0.462
Pd  0.184  0.750  0.185
Pd  0.324  0.502  0.831
Pd  0.324  0.998  0.831
Pd  0.344  0.250  0.466
Pd  0.656  0.750  0.534
Pd  0.676  0.002  0.169
Pd  0.676  0.498  0.169
Pd  0.816  0.250  0.815

Peak list (6 most intense, 10° ≤ 2θ ≤ 90°, in order of falling intensity)
(hkl)	Position (°2θ)	I_rel
1 2 -1	39.84	100
0 0 3	39.07	64
1 2 2	47.07	39
0 2 1	35.71	35
2 0 0	36.09	28
2 0 -2	43.52	27